No. 1
The following is a calculated X-ray diffraction stick pattern of Tb2Er3Tm9. It was derived from DFT lattice parameters and positions (GGA-PBE), using Cu Kα (λ = 1.5418 Å).

Peak list (10 most intense, 10° ≤ 2θ ≤ 90°, low angle first)
2θ (°)  I (rel.)
31.7  41.9
31.8  96.8
32.0  100.0
32.2  45.2
32.5  76.9
33.5  67.5
34.3  44.7
35.3  56.7
53.4  24.5
63.1  25.8

Structure:
```
Tb2Er3Tm9
1.0
6.117 0.000 0.000
0.400 8.573 0.000
1.868 1.500 8.276
Tb Er Tm
2 3 9
direct
0.046 0.031 0.298
0.954 0.969 0.702
0.247 0.619 0.727
0.500 0.000 0.000
0.753 0.381 0.273
0.011 0.750 0.083
0.154 0.333 0.506
0.310 0.383 0.103
0.410 0.686 0.304
0.500 0.000 0.500
0.590 0.314 0.696
0.690 0.617 0.897
0.846 0.667 0.494
0.989 0.250 0.917
```

***

No. 2
The following is a calculated X-ray diffraction stick pattern of Pu2Sc2Bi2C. It was derived from DFT lattice parameters and positions (GGA-PBE), using Cu Kα (λ = 1.5418 Å).

Peak list (10 most intense, 10° ≤ 2θ ≤ 90°, low angle first)
2θ (°)  I (rel.)
22.3  47.4
27.2  93.1
29.5  22.5
33.7  20.0
35.5  100.0
38.9  55.6
43.9  21.8
45.3  32.0
52.4  23.2
68.2  30.8

Structure:
```
Pu2Sc2Bi2C
1.0
4.634 0.000 0.000
0.000 4.634 0.000
0.000 0.000 15.943
Pu Sc Bi C
4 4 4 2
direct
0.000 0.000 0.154
0.000 0.000 0.846
0.500 0.500 0.346
0.500 0.500 0.654
0.000 0.500 0.000
0.000 0.500 0.500
0.500 0.000 0.000
0.500 0.000 0.500
0.000 0.000 0.364
0.000 0.000 0.636
0.500 0.500 0.136
0.500 0.500 0.864
0.000 0.000 0.000
0.500 0.500 0.500
```

***

No. 3
The following is a calculated X-ray diffraction stick pattern of VAuBr. It was derived from DFT lattice parameters and positions (GGA-PBE), using Cu Kα (λ = 1.5418 Å).

Peak list (10 most intense, 10° ≤ 2θ ≤ 90°, low angle first)
2θ (°)  I (rel.)
18.0  42.2
29.5  100.0
33.1  77.8
36.5  29.7
37.9  27.4
47.4  28.1
50.1  47.8
56.9  33.0
61.3  25.8
61.5  13.1

Structure:
```
VAuBr
1.0
3.833 0.000 0.000
0.000 3.833 0.000
0.000 0.000 4.923
V Au Br
1 1 1
direct
0.000 0.000 0.000
0.500 0.500 0.000
0.000 0.000 0.500
```

***

No. 4
The following is a calculated X-ray diffraction stick pattern of Ac2B12IrOs3. It was derived from DFT lattice parameters and positions (GGA-PBE), using Cu Kα (λ = 1.5418 Å).

Peak list (10 most intense, 10° ≤ 2θ ≤ 90°, low angle first)
2θ (°)  I (rel.)
12.2  26.9
13.4  90.2
15.1  67.9
20.7  27.0
22.2  36.7
25.4  48.6
30.5  100.0
42.1  38.7
45.2  50.8
55.5  25.4

Structure:
```
Ac2B12IrOs3
1.0
4.011 2.316 7.277
-4.011 2.316 7.277
0.000 -4.632 7.277
Ac B Ir Os
2 12 1 3
direct
0.240 0.240 0.240
0.760 0.760 0.760
0.253 0.253 0.567
0.253 0.567 0.253
0.260 0.491 0.491
0.433 0.747 0.747
0.491 0.260 0.491
0.491 0.491 0.260
0.509 0.509 0.740
0.509 0.740 0.509
0.567 0.253 0.253
0.740 0.509 0.509
0.747 0.433 0.747
0.747 0.747 0.433
0.500 0.500 0.500
0.000 0.500 0.500
0.500 0.000 0.500
0.500 0.500 0.000
```

***

Repeat the first record exactly.
The following is a calculated X-ray diffraction stick pattern of Tb2Er3Tm9. It was derived from DFT lattice parameters and positions (GGA-PBE), using Cu Kα (λ = 1.5418 Å).

Peak list (10 most intense, 10° ≤ 2θ ≤ 90°, low angle first)
2θ (°)  I (rel.)
31.7  41.9
31.8  96.8
32.0  100.0
32.2  45.2
32.5  76.9
33.5  67.5
34.3  44.7
35.3  56.7
53.4  24.5
63.1  25.8

Structure:
```
Tb2Er3Tm9
1.0
6.117 0.000 0.000
0.400 8.573 0.000
1.868 1.500 8.276
Tb Er Tm
2 3 9
direct
0.046 0.031 0.298
0.954 0.969 0.702
0.247 0.619 0.727
0.500 0.000 0.000
0.753 0.381 0.273
0.011 0.750 0.083
0.154 0.333 0.506
0.310 0.383 0.103
0.410 0.686 0.304
0.500 0.000 0.500
0.590 0.314 0.696
0.690 0.617 0.897
0.846 0.667 0.494
0.989 0.250 0.917
```

***

Copy entry 4 word for word.
The following is a calculated X-ray diffraction stick pattern of Ac2B12IrOs3. It was derived from DFT lattice parameters and positions (GGA-PBE), using Cu Kα (λ = 1.5418 Å).

Peak list (10 most intense, 10° ≤ 2θ ≤ 90°, low angle first)
2θ (°)  I (rel.)
12.2  26.9
13.4  90.2
15.1  67.9
20.7  27.0
22.2  36.7
25.4  48.6
30.5  100.0
42.1  38.7
45.2  50.8
55.5  25.4

Structure:
```
Ac2B12IrOs3
1.0
4.011 2.316 7.277
-4.011 2.316 7.277
0.000 -4.632 7.277
Ac B Ir Os
2 12 1 3
direct
0.240 0.240 0.240
0.760 0.760 0.760
0.253 0.253 0.567
0.253 0.567 0.253
0.260 0.491 0.491
0.433 0.747 0.747
0.491 0.260 0.491
0.491 0.491 0.260
0.509 0.509 0.740
0.509 0.740 0.509
0.567 0.253 0.253
0.740 0.509 0.509
0.747 0.433 0.747
0.747 0.747 0.433
0.500 0.500 0.500
0.000 0.500 0.500
0.500 0.000 0.500
0.500 0.500 0.000
```